No. 1
Diffraction record for Sr5CdPd. The powder XRD pattern is theoretical, not measured: it uses a GGA-PBE-relaxed structure and Cu Kα.
No peak broadening, texture or thermal motion is included.

Peak list (12 most intense, 2θ = 5–70°, most intense first)
h k l	2θ (°)	I (rel.)
2 1 2	30.9	100
1 1 -2	24.7	98
0 2 0	38.7	96
1 0 1	12.0	85
2 1 1	28.7	68
2 1 0	27.8	57
0 1 3	26.8	51
0 1 4	31.6	48
2 0 -3	26.9	44
3 0 -1	30.7	42
1 1 -3	28.3	35
1 1 4	33.5	32

Structure:
a = 8.8560 Å, b = 4.6605 Å, c = 14.2957 Å
α = 90.00°, β = 92.51°, γ = 90.00°
Space group P2_1/m (No. 11)
Asymmetric unit:
Sr 0.0591 0.2500 0.1512 [2 per cell]
Sr 0.1509 0.7500 0.5705 [2 per cell]
Sr 0.3353 0.7500 0.0216 [2 per cell]
Sr 0.3381 0.2500 0.7837 [2 per cell]
Sr 0.3680 0.2500 0.3672 [2 per cell]
Cd 0.0695 0.7500 0.3274 [2 per cell]
Pd 0.4431 0.2500 0.1510 [2 per cell]



No. 2
Diffraction record for SrCdPd. The powder XRD pattern is theoretical, not measured: it uses a GGA-PBE-relaxed structure and Cu Kα.
No peak broadening, texture or thermal motion is included.

Peak list (12 most intense, 2θ = 5–70°, most intense first)
h k l	2θ (°)	I (rel.)
0 2 0	40.4	100
1 1 3	30.9	67
2 1 2	33.7	65
1 1 -3	30.7	63
0 1 4	33.8	58
2 1 0	30.6	51
2 1 -2	33.4	49
2 0 -4	35.6	39
0 0 6	41.1	37
2 1 -3	36.8	30
1 0 5	36.1	26
2 1 4	41.5	24

Structure:
a = 7.7251 Å, b = 4.4610 Å, c = 13.1852 Å
α = 90.00°, β = 90.70°, γ = 90.00°
Space group P2_1/m (No. 11)
Asymmetric unit:
Sr 0.0310 0.2500 0.1228 [2 per cell]
Sr 0.1568 0.2500 0.4199 [2 per cell]
Sr 0.4655 0.7500 0.7892 [2 per cell]
Cd 0.1359 0.2500 0.7031 [2 per cell]
Cd 0.3566 0.7500 0.0424 [2 per cell]
Cd 0.4956 0.7500 0.4136 [2 per cell]
Pd 0.2363 0.7500 0.2518 [2 per cell]
Pd 0.2662 0.7500 0.5872 [2 per cell]
Pd 0.2666 0.2500 0.9177 [2 per cell]



No. 3
Diffraction record for Sr3CdPd4. The powder XRD pattern is theoretical, not measured: it uses a GGA-PBE-relaxed structure and Cu Kα.
No peak broadening, texture or thermal motion is included.

Peak list (12 most intense, 2θ = 5–70°, most intense first)
h k l	2θ (°)	I (rel.)
0 2 -2	33.9	100
2 0 0	33.0	73
1 -1 0	19.1	68
-2 1 1	32.6	68
1 2 0	42.2	62
1 0 2	36.1	58
1 -2 0	32.0	57
0 0 1	13.3	43
0 1 0	16.5	40
-1 1 3	46.3	34
2 -2 2	46.6	33
0 2 -1	30.8	31

Structure:
a = 5.9127 Å, b = 5.9686 Å, c = 7.4002 Å
α = 108.02°, β = 103.72°, γ = 103.28°
Space group P-1 (No. 2)
Asymmetric unit:
Sr 0.0000 0.0000 0.0000 [1 per cell]
Sr 0.4967 0.2846 0.7150 [2 per cell]
Cd 0.0000 0.5000 0.5000 [1 per cell]
Pd 0.0844 0.4484 0.8511 [2 per cell]
Pd 0.4215 0.8101 0.8188 [2 per cell]



No. 4
Diffraction record for Sr2Tl2CdPd5. The powder XRD pattern is theoretical, not measured: it uses a GGA-PBE-relaxed structure and Cu Kα.
No peak broadening, texture or thermal motion is included.

Peak list (12 most intense, 2θ = 5–70°, most intense first)
h k l	2θ (°)	I (rel.)
3 1 1	35.2	100
3 2 1	38.2	42
2 1 0	18.6	32
4 0 1	41.1	20
0 0 2	46.8	20
4 1 0	34.7	20
3 3 0	35.7	19
2 2 1	33.1	13
6 1 1	57.7	10
4 4 0	48.2	10
3 3 2	60.3	8
4 1 2	59.6	8

Structure:
a = 10.6733 Å, b = 10.6733 Å, c = 3.8788 Å
α = 90.00°, β = 90.00°, γ = 90.00°
Space group P4/mbm (No. 127)
Asymmetric unit:
Sr 0.1721 0.3279 0.0000 [4 per cell]
Tl 0.1277 0.6277 0.0000 [4 per cell]
Cd 0.0000 0.0000 0.0000 [2 per cell]
Pd 0.0000 0.5000 0.5000 [2 per cell]
Pd 0.0568 0.8089 0.5000 [8 per cell]



No. 5
Diffraction record for SrTlCdPd3. The powder XRD pattern is theoretical, not measured: it uses a GGA-PBE-relaxed structure and Cu Kα.
No peak broadening, texture or thermal motion is included.

Peak list (12 most intense, 2θ = 5–70°, most intense first)
h k l	2θ (°)	I (rel.)
1 3 1	26.2	100
1 1 1	22.2	100
2 0 2	44.0	99
1 7 1	41.2	74
2 6 0	43.1	70
0 6 2	43.2	69
0 2 0	9.8	51
2 2 0	32.2	43
0 2 2	32.4	43
2 4 0	36.6	30
0 4 2	36.8	30
2 8 2	60.8	25

Structure:
a = 5.8373 Å, b = 18.1308 Å, c = 5.7986 Å
α = 90.00°, β = 90.00°, γ = 90.00°
Space group Cmcm (No. 63)
Asymmetric unit:
Sr 0.0000 0.2155 0.2500 [4 per cell]
Tl 0.0000 0.4006 0.7500 [4 per cell]
Cd 0.0000 0.1045 0.7500 [4 per cell]
Pd 0.0000 0.2521 0.7500 [4 per cell]
Pd 0.2400 0.0000 0.0000 [8 per cell]



No. 6
Diffraction record for Tb3Cd3Pd2. The powder XRD pattern is theoretical, not measured: it uses a GGA-PBE-relaxed structure and Cu Kα.
No peak broadening, texture or thermal motion is included.

Peak list (12 most intense, 2θ = 5–70°, most intense first)
h k l	2θ (°)	I (rel.)
1 1 1	33.5	100
2 1 0	36.0	73
2 0 1	36.3	66
3 1 1	55.9	30
2 1 2	61.9	29
0 0 2	48.6	18
3 2 1	66.6	17
3 1 0	49.8	15
3 0 0	41.0	13
1 0 1	27.4	11
2 1 1	43.6	10
1 0 0	13.4	8

Structure:
a = 7.6173 Å, b = 7.6173 Å, c = 3.7502 Å
α = 90.00°, β = 90.00°, γ = 120.00°
Space group P-62m (No. 189)
Asymmetric unit:
Tb 0.0000 0.5829 0.0000 [3 per cell]
Cd 0.0000 0.2295 0.5000 [3 per cell]
Pd 0.3333 0.6667 0.5000 [2 per cell]



No. 7
Diffraction record for TbCdPd5. The powder XRD pattern is theoretical, not measured: it uses a GGA-PBE-relaxed structure and Cu Kα.
No peak broadening, texture or thermal motion is included.

Peak list (12 most intense, 2θ = 5–70°, most intense first)
h k l	2θ (°)	I (rel.)
1 1 2	37.5	100
0 2 0	19.9	94
2 0 0	24.3	79
1 2 1	28.8	68
3 2 1	45.6	64
0 4 0	40.4	63
2 1 1	31.3	62
1 3 2	47.6	47
2 2 2	46.9	43
2 3 1	42.7	37
0 2 2	39.5	37
1 0 1	20.7	36

Structure:
a = 7.3309 Å, b = 8.9338 Å, c = 5.3024 Å
α = 90.00°, β = 90.00°, γ = 90.00°
Space group Imm2 (No. 44)
Asymmetric unit:
Tb 0.0000 0.0000 0.0000 [2 per cell]
Cd 0.0000 0.5000 0.2991 [2 per cell]
Pd 0.0000 0.0000 0.5069 [2 per cell]
Pd 0.0000 0.2678 0.6671 [4 per cell]
Pd 0.1844 0.5000 0.8141 [4 per cell]



No. 8
Diffraction record for CdTePd. The powder XRD pattern is theoretical, not measured: it uses a GGA-PBE-relaxed structure and Cu Kα.
No peak broadening, texture or thermal motion is included.

Peak list (12 most intense, 2θ = 5–70°, most intense first)
h k l	2θ (°)	I (rel.)
4 1 1	39.0	100
2 1 1	30.9	37
0 2 0	39.6	27
0 0 2	39.5	25
0 1 1	27.7	20
2 0 0	13.4	17
0 2 2	57.2	16
6 0 0	40.8	9
4 0 0	26.9	8
8 0 0	55.4	7
6 2 0	58.2	6
6 0 2	58.1	6

Structure:
a = 13.2606 Å, b = 4.5470 Å, c = 4.5668 Å
α = 90.00°, β = 90.00°, γ = 90.00°
Space group Amm2 (No. 38)
Asymmetric unit:
Cd 0.1283 0.0000 0.0000 [4 per cell]
Te 0.3538 0.0000 0.0423 [4 per cell]
Pd 0.0000 0.0000 0.5009 [2 per cell]
Pd 0.5000 0.0000 0.5602 [2 per cell]



No. 9
Diffraction record for CdTePd. The powder XRD pattern is theoretical, not measured: it uses a GGA-PBE-relaxed structure and Cu Kα.
No peak broadening, texture or thermal motion is included.

Peak list (8 most intense, 2θ = 5–70°, most intense first)
h k l	2θ (°)	I (rel.)
2 2 0	39.0	100
1 1 1	23.6	25
2 0 0	27.3	18
4 0 0	56.3	17
3 1 1	46.0	12
4 2 0	63.7	6
2 2 2	48.2	5
3 3 1	61.9	5

Structure:
a = 6.5372 Å, b = 6.5372 Å, c = 6.5372 Å
α = 90.00°, β = 90.00°, γ = 90.00°
Space group F-43m (No. 216)
Asymmetric unit:
Cd 0.0000 0.0000 0.0000 [4 per cell]
Te 0.0000 0.0000 0.5000 [4 per cell]
Pd 0.2500 0.2500 0.2500 [4 per cell]



No. 10
Diffraction record for CdTe3Pd. The powder XRD pattern is theoretical, not measured: it uses a GGA-PBE-relaxed structure and Cu Kα.
No peak broadening, texture or thermal motion is included.

Peak list (12 most intense, 2θ = 5–70°, most intense first)
h k l	2θ (°)	I (rel.)
2 -1 3	28.6	100
3 0 0	42.7	46
2 0 5	37.9	20
0 0 6	30.1	20
1 1 9	52.5	17
0 2 4	34.7	17
2 2 3	52.2	12
1 1 6	39.0	11
3 0 6	53.1	10
2 3 5	69.7	10
0 2 7	45.7	10
3 -2 5	45.5	9

Structure:
a = 7.3373 Å, b = 7.3373 Å, c = 17.8285 Å
α = 90.00°, β = 90.00°, γ = 120.00°
Space group R-3 (No. 148, hexagonal axes)
Asymmetric unit:
Cd 0.0000 0.0000 0.0916 [6 per cell]
Te 0.0082 0.6150 0.9149 [18 per cell]
Pd 0.0000 0.0000 0.3376 [6 per cell]



No. 11
Diffraction record for ThCd3Pd12. The powder XRD pattern is theoretical, not measured: it uses a GGA-PBE-relaxed structure and Cu Kα.
No peak broadening, texture or thermal motion is included.

Peak list (12 most intense, 2θ = 5–70°, most intense first)
h k l	2θ (°)	I (rel.)
1 1 4	38.2	100
2 0 0	43.8	34
2 0 8	65.1	20
0 0 8	45.6	15
2 2 0	63.6	11
0 0 1	5.6	2
1 1 3	35.0	2
1 0 1	22.2	1
0 0 2	11.1	1
2 0 7	60.5	1
1 0 2	24.3	1
1 0 0	21.5	1

Structure:
a = 4.1353 Å, b = 4.1353 Å, c = 15.9107 Å
α = 90.00°, β = 90.00°, γ = 90.00°
Space group P4/mmm (No. 123)
Asymmetric unit:
Th 0.0000 0.0000 0.0000 [1 per cell]
Cd 0.0000 0.0000 0.2576 [2 per cell]
Cd 0.0000 0.0000 0.5000 [1 per cell]
Pd 0.0000 0.5000 0.1315 [4 per cell]
Pd 0.0000 0.5000 0.3790 [4 per cell]
Pd 0.5000 0.5000 0.0000 [1 per cell]
Pd 0.5000 0.5000 0.2559 [2 per cell]
Pd 0.5000 0.5000 0.5000 [1 per cell]



No. 12
Diffraction record for Th2CdPd6. The powder XRD pattern is theoretical, not measured: it uses a GGA-PBE-relaxed structure and Cu Kα.
No peak broadening, texture or thermal motion is included.

Peak list (12 most intense, 2θ = 5–70°, most intense first)
h k l	2θ (°)	I (rel.)
0 2 1	38.6	100
2 0 2	46.3	30
1 0 2	33.7	24
0 0 2	28.5	22
1 0 1	22.7	19
2 2 0	64.2	19
2 0 0	35.7	14
1 1 0	30.8	13
0 1 3	47.2	12
1 2 3	66.6	12
1 1 1	34.0	11
0 2 3	57.4	9

Structure:
a = 5.8061 Å, b = 5.8061 Å, c = 6.2594 Å
α = 90.00°, β = 90.00°, γ = 120.00°
Space group P-3m1 (No. 164)
Asymmetric unit:
Th 0.3333 0.6667 0.2645 [2 per cell]
Cd 0.0000 0.0000 0.5000 [1 per cell]
Pd 0.1742 0.3484 0.8242 [6 per cell]



No. 13
Diffraction record for Th2CdPd3. The powder XRD pattern is theoretical, not measured: it uses a GGA-PBE-relaxed structure and Cu Kα.
No peak broadening, texture or thermal motion is included.

Peak list (12 most intense, 2θ = 5–70°, most intense first)
h k l	2θ (°)	I (rel.)
1 1 4	32.5	100
2 1 0	32.9	69
1 1 5	35.9	58
2 0 5	34.4	42
2 1 3	36.3	41
0 2 0	46.4	37
0 1 5	33.8	36
3 0 4	41.1	27
0 0 8	40.1	26
1 0 5	27.5	19
3 0 5	43.9	19
2 1 8	52.8	18

Structure:
a = 7.5598 Å, b = 3.9162 Å, c = 17.9935 Å
α = 90.00°, β = 90.00°, γ = 90.00°
Space group Pnma (No. 62)
Asymmetric unit:
Th 0.1075 0.2500 0.2118 [4 per cell]
Th 0.1474 0.2500 0.4274 [4 per cell]
Cd 0.0181 0.7500 0.0625 [4 per cell]
Pd 0.0883 0.2500 0.6599 [4 per cell]
Pd 0.2030 0.2500 0.8118 [4 per cell]
Pd 0.2234 0.7500 0.5507 [4 per cell]